Entry 1:
This entry pairs a crystal structure of UNiPb2S5 with its simulated powder XRD pattern. Radiation: Cu Kα. Structure: a PBE-relaxed structure.

Structure:
a b c (Å): 8.818 8.818 12.693
angles (deg): 90.00 90.00 154.40
Fractional positions:
U 0.199 0.801 0.500
U 0.801 0.199 0.000
Ni 0.427 0.573 0.909
Ni 0.573 0.427 0.409
Pb 0.081 0.919 0.144
Pb 0.124 0.876 0.809
Pb 0.876 0.124 0.309
Pb 0.919 0.081 0.644
S 0.049 0.951 0.495
S 0.291 0.709 0.140
S 0.303 0.697 0.862
S 0.351 0.649 0.481
S 0.498 0.502 0.262
S 0.502 0.498 0.762
S 0.649 0.351 0.981
S 0.697 0.303 0.362
S 0.709 0.291 0.640
S 0.951 0.049 0.995

Principal peaks in the range 10 to 90 degrees two-theta, in order of rising 2θ:
| 2theta | d/Å | intensity |
| --- | --- | --- |
| 17.37 | 5.106 | 27 |
| 21.83 | 4.072 | 38 |
| 23.41 | 3.800 | 100 |
| 28.53 | 3.129 | 35 |
| 31.60 | 2.831 | 90 |
| 32.01 | 2.796 | 30 |
| 37.61 | 2.391 | 40 |
| 45.28 | 2.003 | 17 |
| 45.92 | 1.976 | 17 |
| 46.48 | 1.954 | 20 |
| 49.27 | 1.850 | 18 |
| 52.67 | 1.738 | 22 |

=====

Entry 2:
This entry pairs a crystal structure of Ac8Pr5Tm with its simulated powder XRD pattern. Radiation: Cu Kα. Structure: a PBE-relaxed structure.

Structure:
a b c (Å): 9.151 9.175 9.177
angles (deg): 115.33 99.56 113.50
Fractional positions:
Ac 0.000 0.000 0.000
Ac 0.013 0.338 0.461
Ac 0.354 0.868 0.040
Ac 0.396 0.297 0.883
Ac 0.521 0.951 0.558
Ac 0.571 0.418 0.367
Ac 0.735 0.789 0.229
Ac 0.840 0.497 0.827
Pr 0.075 0.772 0.579
Pr 0.200 0.521 0.190
Pr 0.213 0.051 0.405
Pr 0.512 0.653 0.746
Pr 0.751 0.234 0.044
Tm 0.962 0.136 0.711

Principal peaks in the range 10 to 90 degrees two-theta, in order of rising 2θ:
| 2theta | d/Å | intensity |
| --- | --- | --- |
| 24.24 | 3.672 | 58 |
| 28.08 | 3.177 | 74 |
| 28.24 | 3.160 | 53 |
| 28.35 | 3.148 | 41 |
| 28.63 | 3.118 | 25 |
| 29.63 | 3.015 | 82 |
| 29.71 | 3.007 | 70 |
| 30.09 | 2.970 | 54 |
| 30.24 | 2.956 | 100 |
| 32.36 | 2.767 | 33 |
| 32.55 | 2.750 | 29 |
| 47.24 | 1.924 | 27 |